(1)
This entry pairs a crystal structure of YV2Co10 with its theoretical powder diffractogram. Radiation: Cu Kα. Structure: a PBE-relaxed structure.

Largest 8 diffraction maxima, low angle first, 2θ from 10° to 80°:
| d/Å | Position (°2θ) | I_rel |
| --- | --- | --- |
| 2.381 | 37.78 | 37 |
| 2.079 | 43.54 | 66 |
| 2.066 | 43.82 | 100 |
| 2.030 | 44.64 | 75 |
| 1.859 | 49.00 | 27 |
| 1.850 | 49.25 | 22 |
| 1.824 | 50.00 | 49 |
| 1.287 | 73.61 | 19 |

Structure:
```
YV2Co10
1.0
-2.3263 4.1527 4.1617
2.3263 -4.1527 4.1617
2.3263 4.1527 -4.1617
Y V Co
1 2 10
Direct
0.0000 0.0000 0.0000
0.3618 0.3618 0.0000
0.6382 0.6382 0.0000
0.0000 0.0000 0.5000
0.0000 0.5000 0.0000
0.2190 0.5000 0.7190
0.2220 0.7220 0.5000
0.3597 0.0000 0.3597
0.5000 0.0000 0.0000
0.5000 0.5000 0.5000
0.6403 0.0000 0.6403
0.7780 0.2780 0.5000
0.7810 0.5000 0.2810
```

***

(2)
This entry pairs a crystal structure of Cd2P3Br with its theoretical powder diffractogram. Radiation: Cu Kα. Structure: a PBE-relaxed structure.

Largest 8 diffraction maxima, low angle first, 2θ from 10° to 80°:
| d/Å | Position (°2θ) | I_rel |
| --- | --- | --- |
| 3.934 | 22.60 | 18 |
| 3.767 | 23.62 | 57 |
| 3.029 | 29.49 | 20 |
| 2.959 | 30.20 | 100 |
| 2.700 | 33.18 | 53 |
| 2.075 | 43.61 | 19 |
| 1.967 | 46.15 | 19 |
| 1.822 | 50.05 | 19 |

Structure:
```
Cd2P3Br
1.0
4.1104 -4.6125 0.0000
4.1104 4.6125 0.0000
-1.3401 0.0000 7.5341
Cd P Br
4 6 2
Direct
0.0982 0.3945 0.2793
0.3945 0.0982 0.7793
0.6055 0.9018 0.2207
0.9018 0.6055 0.7207
0.0672 0.1585 0.9599
0.1585 0.0672 0.4599
0.1950 0.8050 0.2500
0.8050 0.1950 0.7500
0.8415 0.9328 0.5401
0.9328 0.8415 0.0401
0.3742 0.6258 0.7500
0.6258 0.3742 0.2500
```

***

(3)
This entry pairs a crystal structure of CsMg14Ni with its theoretical powder diffractogram. Radiation: Cu Kα. Structure: a PBE-relaxed structure.

Largest 8 diffraction maxima, low angle first, 2θ from 10° to 80°:
| d/Å | Position (°2θ) | I_rel |
| --- | --- | --- |
| 5.576 | 15.90 | 36 |
| 3.849 | 23.11 | 30 |
| 2.788 | 32.11 | 29 |
| 2.660 | 33.70 | 23 |
| 2.469 | 36.39 | 100 |
| 1.924 | 47.23 | 19 |
| 1.610 | 57.24 | 17 |
| 1.377 | 68.09 | 17 |

Structure:
```
CsMg14Ni
1.0
6.4381 0.0000 0.0000
-3.2191 5.5756 0.0000
0.0000 0.0000 10.6384
Cs Mg Ni
1 14 1
Direct
0.0000 0.0000 0.0000
0.0068 0.5034 0.0000
0.1647 0.3294 0.2831
0.1647 0.3294 0.7169
0.1647 0.8353 0.2831
0.1647 0.8353 0.7169
0.4966 0.5034 0.0000
0.4966 0.9932 0.0000
0.5063 0.0125 0.5000
0.5063 0.4937 0.5000
0.6667 0.3333 0.2402
0.6667 0.3333 0.7598
0.6706 0.8353 0.2831
0.6706 0.8353 0.7169
0.9875 0.4937 0.5000
0.0000 0.0000 0.5000
```

***

(4)
This entry pairs a crystal structure of CdNi3N with its theoretical powder diffractogram. Radiation: Cu Kα. Structure: a PBE-relaxed structure.

Largest 8 diffraction maxima, low angle first, 2θ from 10° to 80°:
| d/Å | Position (°2θ) | I_rel |
| --- | --- | --- |
| 3.850 | 23.10 | 4 |
| 2.722 | 32.90 | 12 |
| 2.223 | 40.59 | 100 |
| 1.925 | 47.22 | 56 |
| 1.722 | 53.20 | 2 |
| 1.572 | 58.75 | 4 |
| 1.361 | 69.00 | 33 |
| 1.217 | 78.58 | 2 |

Structure:
```
CdNi3N
1.0
3.8498 0.0000 0.0000
0.0000 3.8498 0.0000
0.0000 0.0000 3.8498
Cd Ni N
1 3 1
Direct
0.0000 0.0000 0.0000
0.0000 0.5000 0.5000
0.5000 0.0000 0.5000
0.5000 0.5000 0.0000
0.5000 0.5000 0.5000
```

***

(5)
This entry pairs a crystal structure of Zr6Ga2FeH10 with its theoretical powder diffractogram. Radiation: Cu Kα. Structure: a PBE-relaxed structure.

Largest 8 diffraction maxima, low angle first, 2θ from 10° to 80°:
| d/Å | Position (°2θ) | I_rel |
| --- | --- | --- |
| 2.678 | 33.46 | 100 |
| 2.640 | 33.96 | 63 |
| 2.501 | 35.91 | 68 |
| 2.477 | 36.27 | 25 |
| 2.328 | 38.68 | 44 |
| 2.125 | 42.54 | 28 |
| 1.482 | 62.68 | 19 |
| 1.463 | 63.62 | 30 |

Structure:
```
Zr6Ga2FeH10
1.0
8.0643 0.0000 0.0000
-4.0322 6.9839 0.0000
0.0000 0.0000 7.1656
Zr Ga Fe H
12 4 2 20
Direct
0.0000 0.7404 0.0000
0.0000 0.7404 0.5000
0.0473 0.4259 0.2500
0.2596 0.2596 0.0000
0.2596 0.2596 0.5000
0.3786 0.9527 0.2500
0.4259 0.0473 0.7500
0.5741 0.6214 0.2500
0.6214 0.5741 0.7500
0.7404 0.0000 0.0000
0.7404 0.0000 0.5000
0.9527 0.3786 0.7500
0.3333 0.6667 0.5505
0.3333 0.6667 0.9495
0.6667 0.3333 0.0505
0.6667 0.3333 0.4495
0.0000 0.0000 0.2500
0.0000 0.0000 0.7500
0.0000 0.0000 0.0000
0.0000 0.0000 0.5000
0.0000 0.2819 0.0000
0.0000 0.2819 0.5000
0.1170 0.7089 0.2500
0.1182 0.2387 0.7500
0.1205 0.8818 0.7500
0.2387 0.1182 0.2500
0.2819 0.0000 0.0000
0.2819 0.0000 0.5000
0.2911 0.4081 0.2500
0.4081 0.2911 0.7500
0.5919 0.8830 0.2500
0.7089 0.1170 0.7500
0.7181 0.7181 0.0000
0.7181 0.7181 0.5000
0.7613 0.8795 0.7500
0.8795 0.7613 0.2500
0.8818 0.1205 0.2500
0.8830 0.5919 0.7500
```

***

(6)
This entry pairs a crystal structure of Eu2InHg with its theoretical powder diffractogram. Radiation: Cu Kα. Structure: a PBE-relaxed structure.

Largest 8 diffraction maxima, low angle first, 2θ from 10° to 80°:
| d/Å | Position (°2θ) | I_rel |
| --- | --- | --- |
| 4.589 | 19.34 | 4 |
| 2.810 | 31.84 | 100 |
| 2.397 | 37.53 | 2 |
| 1.987 | 45.66 | 18 |
| 1.824 | 50.02 | 1 |
| 1.622 | 56.74 | 39 |
| 1.405 | 66.55 | 12 |
| 1.257 | 75.67 | 17 |

Structure:
```
Eu2InHg
1.0
0.0000 3.9742 3.9742
3.9742 0.0000 3.9742
3.9742 3.9742 0.0000
Eu In Hg
2 1 1
Direct
0.2500 0.2500 0.2500
0.7500 0.7500 0.7500
0.0000 0.0000 0.0000
0.5000 0.5000 0.5000
```

***

(7)
This entry pairs a crystal structure of NaLiB4O7 with its theoretical powder diffractogram. Radiation: Cu Kα. Structure: a PBE-relaxed structure.

Largest 8 diffraction maxima, low angle first, 2θ from 10° to 80°:
| d/Å | Position (°2θ) | I_rel |
| --- | --- | --- |
| 4.218 | 21.06 | 32 |
| 4.126 | 21.54 | 100 |
| 3.573 | 24.92 | 58 |
| 2.753 | 32.53 | 72 |
| 2.701 | 33.17 | 81 |
| 2.167 | 41.69 | 32 |
| 2.061 | 43.93 | 31 |
| 1.980 | 45.82 | 23 |

Structure:
```
NaLiB4O7
1.0
0.0000 7.1422 5.2275
6.7191 0.0000 5.2275
6.7191 7.1422 0.0000
Na Li B O
4 4 16 28
Direct
0.1385 0.8615 0.3410
0.5910 0.9090 0.3885
0.8615 0.1385 0.6590
0.9090 0.5910 0.1115
0.1167 0.3921 0.6128
0.3716 0.6372 0.8579
0.3921 0.1167 0.8784
0.6372 0.3716 0.1333
0.0112 0.1720 0.0791
0.0867 0.8627 0.0664
0.1709 0.5123 0.2388
0.1720 0.0112 0.7377
0.1836 0.2657 0.1633
0.2657 0.1836 0.3873
0.3414 0.5674 0.6038
0.4973 0.6454 0.2628
0.5123 0.1709 0.0780
0.5674 0.3414 0.4874
0.6454 0.4973 0.5946
0.6462 0.7626 0.9086
0.6554 0.9872 0.6046
0.7626 0.6462 0.6826
0.8627 0.0867 0.9843
0.9872 0.6554 0.7527
0.0199 0.1363 0.7858
0.0374 0.2751 0.1314
0.1186 0.6939 0.2126
0.1363 0.0199 0.0580
0.1425 0.1425 0.3575
0.1578 0.6122 0.7398
0.1920 0.4642 0.1137
0.2042 0.3769 0.3844
0.2155 0.8656 0.8731
0.2751 0.0374 0.5561
0.3723 0.3723 0.6277
0.3769 0.2042 0.0345
0.3786 0.6998 0.4063
0.4642 0.1920 0.2301
0.4762 0.6027 0.6298
0.5102 0.7598 0.0922
0.6027 0.4762 0.2913
0.6122 0.1578 0.4902
0.6202 0.9587 0.7738
0.6223 0.6223 0.8777
0.6939 0.1186 0.9749
0.6998 0.3786 0.5154
0.7346 0.8437 0.5502
0.7598 0.5102 0.6378
0.8437 0.7346 0.8714
0.8656 0.2155 0.0458
0.8925 0.8925 0.1075
0.9587 0.6202 0.6473
```

***

(8)
This entry pairs a crystal structure of Y2HgO4 with its theoretical powder diffractogram. Radiation: Cu Kα. Structure: a PBE-relaxed structure.

Largest 8 diffraction maxima, low angle first, 2θ from 10° to 80°:
| d/Å | Position (°2θ) | I_rel |
| --- | --- | --- |
| 3.424 | 26.03 | 86 |
| 2.987 | 29.91 | 56 |
| 2.897 | 30.86 | 72 |
| 2.859 | 31.28 | 61 |
| 2.755 | 32.50 | 100 |
| 2.512 | 35.74 | 82 |
| 2.306 | 39.06 | 66 |
| 1.768 | 51.72 | 56 |

Structure:
```
Y2HgO4
1.0
6.8636 -1.8250 0.0000
6.8636 1.8250 0.0000
-5.4459 0.0000 8.5780
Y Hg O
4 2 8
Direct
0.1193 0.1193 0.4618
0.3407 0.3407 0.2005
0.6593 0.6593 0.7995
0.8807 0.8807 0.5382
0.3866 0.3866 0.8392
0.6134 0.6134 0.1608
0.0822 0.0822 0.6527
0.2674 0.2674 0.3877
0.2967 0.2967 0.9454
0.4650 0.4650 0.7176
0.5350 0.5350 0.2824
0.7033 0.7033 0.0546
0.7326 0.7326 0.6123
0.9178 0.9178 0.3473
```

***

(9)
This entry pairs a crystal structure of ZrMnAl with its theoretical powder diffractogram. Radiation: Cu Kα. Structure: a PBE-relaxed structure.

Largest 8 diffraction maxima, low angle first, 2θ from 10° to 80°:
| d/Å | Position (°2θ) | I_rel |
| --- | --- | --- |
| 2.624 | 34.17 | 28 |
| 2.572 | 34.88 | 38 |
| 2.391 | 37.63 | 100 |
| 2.377 | 37.85 | 38 |
| 2.230 | 40.46 | 33 |
| 2.197 | 41.08 | 85 |
| 2.181 | 41.40 | 63 |
| 2.141 | 42.22 | 29 |

Structure:
```
ZrMnAl
1.0
8.4543 0.0000 0.0000
0.0000 2.6244 4.4256
0.0000 -2.6244 4.4256
Zr Mn Al
4 4 4
Direct
0.1789 0.0000 0.0000
0.3068 0.3343 0.3343
0.6932 0.3343 0.3343
0.8211 0.0000 0.0000
0.0000 0.0177 0.4959
0.0000 0.4944 0.4944
0.0000 0.4959 0.0177
0.5000 0.8361 0.8361
0.2411 0.6721 0.6721
0.5000 0.3253 0.8373
0.5000 0.8373 0.3253
0.7589 0.6721 0.6721
```

***

(10)
This entry pairs a crystal structure of Na5SnP3 with its theoretical powder diffractogram. Radiation: Cu Kα. Structure: a PBE-relaxed structure.

Largest 8 diffraction maxima, low angle first, 2θ from 10° to 80°:
| d/Å | Position (°2θ) | I_rel |
| --- | --- | --- |
| 7.076 | 12.51 | 100 |
| 5.577 | 15.89 | 38 |
| 5.156 | 17.20 | 41 |
| 4.994 | 17.76 | 39 |
| 2.871 | 31.15 | 47 |
| 2.833 | 31.58 | 41 |
| 2.393 | 37.59 | 43 |
| 2.234 | 40.38 | 59 |

Structure:
```
Na5SnP3
1.0
8.3507 0.0000 0.0000
0.0000 7.4930 0.0000
-8.2659 0.0000 13.3992
Na Sn P
20 4 12
Direct
0.0047 0.1605 0.0822
0.0047 0.3395 0.5822
0.0928 0.0037 0.7600
0.0928 0.4963 0.2600
0.2526 0.5220 0.0880
0.2526 0.9780 0.5880
0.3151 0.6423 0.7424
0.3151 0.8577 0.2424
0.4117 0.0401 0.0889
0.4117 0.4599 0.5889
0.5883 0.5401 0.4111
0.5883 0.9599 0.9111
0.6849 0.1423 0.7576
0.6849 0.3577 0.2576
0.7474 0.0220 0.4120
0.7474 0.4780 0.9120
0.9072 0.5037 0.7400
0.9072 0.9963 0.2400
0.9953 0.6605 0.4178
0.9953 0.8395 0.9178
0.3388 0.1472 0.4110
0.3388 0.3528 0.9110
0.6612 0.6472 0.0890
0.6612 0.8528 0.5890
0.0617 0.2325 0.9178
0.0617 0.2675 0.4178
0.3347 0.7020 0.9289
0.3347 0.7980 0.4289
0.3614 0.2452 0.2637
0.3614 0.2548 0.7637
0.6386 0.7452 0.2363
0.6386 0.7548 0.7363
0.6653 0.2020 0.5711
0.6653 0.2980 0.0711
0.9383 0.7325 0.5822
0.9383 0.7675 0.0822
```

***

(11)
This entry pairs a crystal structure of CeUB8 with its theoretical powder diffractogram. Radiation: Cu Kα. Structure: a PBE-relaxed structure.

Largest 8 diffraction maxima, low angle first, 2θ from 10° to 80°:
| d/Å | Position (°2θ) | I_rel |
| --- | --- | --- |
| 4.011 | 22.16 | 95 |
| 3.554 | 25.06 | 77 |
| 3.194 | 27.93 | 68 |
| 3.163 | 28.21 | 43 |
| 2.660 | 33.70 | 99 |
| 2.499 | 35.94 | 100 |
| 2.484 | 36.17 | 57 |
| 1.588 | 58.10 | 31 |

Structure:
```
CeUB8
1.0
4.9956 -5.0570 0.0000
4.9956 5.0570 0.0000
0.0000 0.0000 4.0107
Ce U B
2 2 16
Direct
0.1885 0.1885 0.0000
0.8115 0.8115 0.0000
0.3112 0.6888 0.0000
0.6888 0.3112 0.0000
0.0000 0.5000 0.2009
0.0000 0.5000 0.7991
0.0423 0.6770 0.5000
0.0881 0.9119 0.5000
0.1783 0.4648 0.5000
0.3230 0.9577 0.5000
0.4126 0.4126 0.5000
0.4648 0.1783 0.5000
0.5000 0.0000 0.2009
0.5000 0.0000 0.7991
0.5352 0.8217 0.5000
0.5874 0.5874 0.5000
0.6770 0.0423 0.5000
0.8217 0.5352 0.5000
0.9119 0.0881 0.5000
0.9577 0.3230 0.5000
```